Record 1
For AcCd4Sn4, a cell relaxed with GGA-PBE gives the computed powder diffractogram in this record (λ = 1.5418 Å (Cu Kα)).
Peak positions follow from Bragg's law for the DFT cell and can differ from measured ones.

Cell lengths 6.5952, 6.5952, 11.4652 Å; angles 90.00, 90.00, 90.00 degrees
Space group P4_2/nmc (No. 137, origin choice 2)
One atom of each set of equivalent atoms:
Ac1 0.2500 0.7500 0.2500 (multiplicity 2)
Cd1 0.0338 0.2500 0.1915 (multiplicity 8)
Sn1 0.0175 0.2500 0.4678 (multiplicity 8)

Principal peaks in the range 10 to 90 degrees two-theta, by angle:
two_theta	d/Å	I/Imax	hkl
26.99	3.304	27	1 0 3
28.16	3.169	24	2 0 1
31.24	2.863	27	0 0 4
31.32	2.856	100	2 1 1
34.11	2.629	34	1 0 4
35.97	2.497	81	2 0 3
38.60	2.333	32	2 2 0
55.75	1.649	23	4 0 0
59.99	1.542	20	3 2 4
68.16	1.376	20	4 2 3

***

Record 2
For Ac2CdSn3, a cell relaxed with GGA-PBE gives the computed powder diffractogram in this record (λ = 1.5418 Å (Cu Kα)).
Peak positions follow from Bragg's law for the DFT cell and can differ from measured ones.

Cell lengths 12.4240, 4.8548, 7.9328 Å; angles 90.00, 129.09, 90.00 degrees
Space group Cm (No. 8)
One atom of each set of equivalent atoms:
Ac1 0.0000 0.0000 0.0000 (multiplicity 2)
Ac2 0.1195 0.0000 0.6239 (multiplicity 2)
Cd1 0.2231 0.5000 0.4060 (multiplicity 2)
Sn1 0.2119 0.5000 0.0048 (multiplicity 2)
Sn2 0.3905 0.0000 0.5900 (multiplicity 2)
Sn3 0.4143 0.0000 0.2084 (multiplicity 2)

Principal peaks in the range 10 to 90 degrees two-theta, by angle:
two_theta	d/Å	I/Imax	hkl
28.34	3.150	66	1 1 1
28.49	3.133	51	3 1 -1
29.01	3.078	28	0 0 2
29.30	3.048	35	4 0 -2
30.47	2.933	100	1 1 -2
30.62	2.920	95	3 1 -2
33.43	2.680	86	3 1 0
37.03	2.427	65	0 2 0
54.63	1.680	26	1 1 3
62.75	1.481	35	1 3 -2